For TiMnNbNi, a crystal structure in Alexandria, relaxed with PBE gives the simulated XRD peak list in this record (λ = 1.5418 Å (Cu Kα)).

Structure:
a b c (Å): 6.0752 6.0752 6.0752
angles (deg): 90.00 90.00 90.00
Space group F-43m (No. 216)
Unique sites:
Ti: 0.0000 0.0000 0.0000 [4 per cell]
Mn: 0.2500 0.2500 0.7500 [4 per cell]
Nb: 0.0000 0.0000 0.5000 [4 per cell]
Ni: 0.2500 0.2500 0.2500 [4 per cell]

Main lines, in order of rising 2θ (10 to 90 degrees two-theta):
d [Å]	2θ/deg	Rel. int.	(hkl)
3.508	25.4	89	1 1 1
3.038	29.4	9	2 0 0
2.148	42.1	1000	2 2 0
1.832	49.8	45	3 1 1
1.519	61.0	155	4 0 0
1.394	67.2	19	3 3 1
1.240	76.9	300	4 2 2
1.169	82.5	15	5 1 1